Computed powder X-ray diffraction pattern of K3Mn2PbF9 for Cu Kα (λ = 1.5418 Å), from a structure optimized by DFT (PBE+U).
Lines closer than 0.1° are merged.

Main lines, low angle first (2θ = 5–70°):
d/Å	I (rel.)
5.339	31
4.450	100
3.216	79
3.083	63
2.225	68
2.025	21
1.958	23
1.804	29
1.608	15
1.542	24

Structure:
```
K3Mn2PbF9
1.0
6.165 0.000 0.000
-3.083 5.339 0.000
0.000 0.000 8.056
K Mn Pb F
3 2 1 9
Cartesian
0.000 0.000 0.000 K
0.000 3.559 5.819 K
3.083 1.780 2.238 K
0.000 3.559 1.248 Mn
3.083 1.780 6.808 Mn
0.000 0.000 4.028 Pb
-1.541 2.670 0.000 F
0.000 1.822 2.429 F
-1.505 4.428 2.429 F
1.578 0.911 5.628 F
3.083 0.000 0.000 F
1.541 2.670 0.000 F
1.505 4.428 2.429 F
4.587 0.911 5.628 F
3.083 3.517 5.628 F
```